# TbMoClO4
Simulated XRD peak list, Cu Kα (weighted mean of Kα1 and Kα2). Input: a cell relaxed with GGA+U.
Kinematic intensities with the Lorentz-polarization factor, no thermal factor.

Structural model:
Cell lengths 10.339, 7.359, 6.948 Å; angles 90.00, 107.19, 90.00 degrees
Space group C2/m (No. 12)
One atom of each set of equivalent atoms:
Tb 0.222 0.000 0.113 [4 per cell]
Mo 0.138 0.500 0.269 [4 per cell]
Cl 0.011 0.000 0.768 [4 per cell]
O 0.042 0.500 0.797 [4 per cell]
O 0.200 0.310 0.153 [8 per cell]
O 0.207 0.500 0.534 [4 per cell]

Principal peaks in the range 10° ≤ 2θ ≤ 90°, most intense first:
- 24.2°, intensity 100
- 13.3°, intensity 62
- 29.1°, intensity 58
- 28.4°, intensity 55
- 25.5°, intensity 53
- 18.0°, intensity 53
- 34.4°, intensity 41
- 49.5°, intensity 32
- 35.4°, intensity 27
- 46.3°, intensity 26